[1]
The following is a computed X-ray diffraction stick pattern of Y10Ho4Zr. It was derived from the GGA-PBE geometry in Alexandria, using λ = 1.5418 Å (Cu Kα).
Intensities are scaled so that the largest is 100.

Cell and atoms:
```
15
Lattice="-5.622 5.622 3.844 5.622 -5.622 3.844 5.622 5.622 -3.844" Properties=species:S:1:pos:R:3 pbc="T T T"
Y 5.622 3.274 -2.194
Y 3.274 5.622 -2.194
Y 2.347 0.000 1.649
Y 5.622 0.000 1.922
Y 0.000 2.347 1.649
Y 5.622 3.274 2.194
Y 0.000 5.622 1.922
Y 3.274 5.622 2.194
Y 2.347 0.000 6.038
Y 0.000 2.347 6.038
Ho 3.042 3.042 0.000
Ho 2.580 -2.580 3.844
Ho -2.580 2.580 3.844
Ho 2.580 2.580 3.844
Zr 0.000 0.000 3.844
```

Top 8 peaks for 5° ≤ 2θ ≤ 70°, most intense first:
| 2theta | Rel. int. |
| --- | --- |
| 32.4 | 100 |
| 31.8 | 85 |
| 28.1 | 70 |
| 30.9 | 40 |
| 68.0 | 33 |
| 41.4 | 29 |
| 58.1 | 22 |
| 34.4 | 22 |

---

[2]
The following is a computed X-ray diffraction stick pattern of Y4Ho6Zr. It was derived from the GGA-PBE geometry in Alexandria, using λ = 1.5418 Å (Cu Kα).
Intensities are scaled so that the largest is 100.

Cell and atoms:
```
22
Lattice="8.739 0.000 0.000 0.000 8.739 0.000 0.000 0.000 8.855" Properties=species:S:1:pos:R:3 pbc="T T T"
Y 1.288 3.081 2.214
Y 1.288 3.081 6.642
Y 3.081 7.451 2.214
Y 3.081 7.451 6.642
Y 5.657 1.288 2.214
Y 5.657 1.288 6.642
Y 7.451 5.657 2.214
Y 7.451 5.657 6.642
Ho 0.000 0.000 1.540
Ho 0.000 0.000 7.316
Ho 1.310 5.710 4.428
Ho 1.340 5.679 0.000
Ho 3.029 1.310 4.428
Ho 3.060 1.340 0.000
Ho 4.369 4.369 2.888
Ho 4.369 4.369 5.967
Ho 5.679 7.398 0.000
Ho 5.710 7.429 4.428
Ho 7.398 3.060 0.000
Ho 7.429 3.029 4.428
Zr 0.000 0.000 4.428
Zr 4.369 4.369 0.000
```

Top 8 peaks for 5° ≤ 2θ ≤ 70°, most intense first:
| 2theta | Rel. int. |
| --- | --- |
| 30.5 | 100 |
| 32.4 | 68 |
| 60.8 | 21 |
| 38.2 | 15 |
| 32.0 | 13 |
| 28.9 | 13 |
| 46.5 | 12 |
| 47.6 | 11 |

---

[3]
The following is a computed X-ray diffraction stick pattern of Ho4Zn. It was derived from the GGA-PBE geometry in Alexandria, using λ = 1.5418 Å (Cu Kα).
Intensities are scaled so that the largest is 100.

Cell and atoms:
```
10
Lattice="0.000 7.542 3.106 5.935 0.000 3.106 5.935 7.542 0.000" Properties=species:S:1:pos:R:3 pbc="T T T"
Ho 5.166 1.613 3.238
Ho 2.198 2.157 1.685
Ho 6.696 4.609 3.106
Ho 3.736 5.384 1.685
Ho 8.141 8.379 4.659
Ho 5.173 10.474 3.106
Ho 6.704 13.470 3.238
Ho 3.729 6.704 4.659
Zn 5.935 7.542 2.711
Zn 8.902 11.312 4.264
```

Top 8 peaks for 5° ≤ 2θ ≤ 70°, most intense first:
| 2theta | Rel. int. |
| --- | --- |
| 33.9 | 100 |
| 32.4 | 74 |
| 32.5 | 64 |
| 34.7 | 64 |
| 32.2 | 55 |
| 54.3 | 23 |
| 50.4 | 21 |
| 24.0 | 20 |

---

Repeat the second record exactly.
The following is a computed X-ray diffraction stick pattern of Y4Ho6Zr. It was derived from the GGA-PBE geometry in Alexandria, using λ = 1.5418 Å (Cu Kα).
Intensities are scaled so that the largest is 100.

Cell and atoms:
```
22
Lattice="8.739 0.000 0.000 0.000 8.739 0.000 0.000 0.000 8.855" Properties=species:S:1:pos:R:3 pbc="T T T"
Y 1.288 3.081 2.214
Y 1.288 3.081 6.642
Y 3.081 7.451 2.214
Y 3.081 7.451 6.642
Y 5.657 1.288 2.214
Y 5.657 1.288 6.642
Y 7.451 5.657 2.214
Y 7.451 5.657 6.642
Ho 0.000 0.000 1.540
Ho 0.000 0.000 7.316
Ho 1.310 5.710 4.428
Ho 1.340 5.679 0.000
Ho 3.029 1.310 4.428
Ho 3.060 1.340 0.000
Ho 4.369 4.369 2.888
Ho 4.369 4.369 5.967
Ho 5.679 7.398 0.000
Ho 5.710 7.429 4.428
Ho 7.398 3.060 0.000
Ho 7.429 3.029 4.428
Zr 0.000 0.000 4.428
Zr 4.369 4.369 0.000
```

Top 8 peaks for 5° ≤ 2θ ≤ 70°, most intense first:
| 2theta | Rel. int. |
| --- | --- |
| 30.5 | 100 |
| 32.4 | 68 |
| 60.8 | 21 |
| 38.2 | 15 |
| 32.0 | 13 |
| 28.9 | 13 |
| 46.5 | 12 |
| 47.6 | 11 |